For LiFe2OF3, a cell relaxed with PBE+U gives the theoretical XRD peak list in this record (λ = 1.5418 Å (Cu Kα)).
Neutral-atom scattering factors, no anomalous dispersion.

Largest 12 diffraction maxima, by angle, 10° ≤ 2θ ≤ 80°:
- 12.3°, d = 7.203 Å, I 52
- 17.8°, d = 4.996 Å, I 69
- 23.4°, d = 3.795 Å, I 19
- 31.4°, d = 2.848 Å, I 16
- 32.0°, d = 2.800 Å, I 21
- 33.6°, d = 2.669 Å, I 31
- 34.0°, d = 2.634 Å, I 8
- 41.2°, d = 2.191 Å, I 100
- 56.9°, d = 1.618 Å, I 10
- 58.5°, d = 1.579 Å, I 11
- 59.7°, d = 1.549 Å, I 38
- 61.0°, d = 1.520 Å, I 11

Atomic structure:
a = 8.2668 Å, b = 8.2668 Å, c = 8.2668 Å
α = 136.86°, β = 80.39°, γ = 115.93°
Atoms (fractional coordinates):
Li1 0.0843 0.7215 0.3627
Li2 0.1294 0.0000 0.1294
Li3 0.3588 0.7215 0.6373
Li4 0.8706 0.0000 0.8706
Fe1 0.1294 0.3786 0.7509
Fe2 0.3379 0.3379 0.0000
Fe3 0.4966 0.3740 0.6399
Fe4 0.4966 0.8567 0.1227
Fe5 0.6277 0.3786 0.2491
Fe6 0.7341 0.3740 0.8773
Fe7 0.7341 0.8567 0.3601
Fe8 0.8909 0.3909 0.5000
O1 0.3731 0.6016 0.7715
O2 0.5711 0.5711 0.0000
O3 0.6497 0.1497 0.5000
O4 0.8302 0.6016 0.2285
F1 0.1105 0.1105 0.0000
F2 0.1154 0.6154 0.5000
F3 0.2307 0.1091 0.6257
F4 0.2307 0.6051 0.1217
F5 0.3975 0.1384 0.2591
F6 0.4834 0.1091 0.8783
F7 0.4834 0.6051 0.3743
F8 0.7441 0.1257 0.1310
F9 0.7441 0.6131 0.6184
F10 0.8794 0.1384 0.7409
F11 0.9947 0.1257 0.3816
F12 0.9947 0.6131 0.8690